Record 1
This entry pairs a crystal structure of Sr4LiMn2Cu3S4O4 with its simulated powder X-ray diffraction pattern. Radiation: Cu Kα (λ = 1.5418 Å). Structure: a cell relaxed with PBE+U.
Intensities are scaled so that the largest is 100.

Structure:
Lattice parameters (Å, degrees): 5.900 5.911 9.356 71.59 88.82 86.16
Space group P1 (No. 1)
Inequivalent atoms, fractional coordinates:
Sr 0.000 0.000 0.000 x1
Sr 0.014 0.212 0.622 x1
Sr 0.554 0.744 0.622 x1
Sr 0.568 0.578 0.000 x1
Li 0.284 0.243 0.093 x1
Mn 0.049 0.624 0.802 x1
Mn 0.519 0.153 0.801 x1
Cu 0.282 0.107 0.358 x1
Cu 0.285 0.625 0.330 x1
Cu 0.785 0.625 0.330 x1
S 0.039 0.449 0.204 x1
S 0.048 0.780 0.500 x1
S 0.519 0.298 0.499 x1
S 0.530 0.927 0.202 x1
O 0.284 0.343 0.893 x1
O 0.284 0.881 0.816 x1
O 0.784 0.382 0.815 x1
O 0.784 0.877 0.825 x1

Principal peaks in the range 2θ from 15° to 90°, by angle:
2θ (°)	I_rel
30.3	32
32.0	57
32.7	66
33.6	100
36.6	81
41.9	51
44.9	45
54.8	25
56.7	25
60.9	23

=====

Record 2
This entry pairs a crystal structure of Sr4LiMn2Cu3S4O4 with its simulated powder X-ray diffraction pattern. Radiation: Cu Kα (λ = 1.5418 Å). Structure: a cell relaxed with PBE+U.
Intensities are scaled so that the largest is 100.

Structure:
Lattice parameters (Å, degrees): 5.898 5.917 9.286 88.86 71.50 86.05
Space group P1 (No. 1)
Inequivalent atoms, fractional coordinates:
Sr 0.000 0.000 0.000 x1
Sr 0.162 0.971 0.621 x1
Sr 0.514 0.524 0.001 x1
Sr 0.732 0.549 0.622 x1
Li 0.483 0.264 0.542 x1
Mn 0.103 0.501 0.825 x1
Mn 0.587 0.022 0.824 x1
Cu 0.104 0.757 0.295 x1
Cu 0.612 0.765 0.297 x1
Cu 0.620 0.261 0.271 x1
S 0.303 0.527 0.426 x1
S 0.444 0.014 0.132 x1
S 0.785 0.001 0.429 x1
S 0.940 0.509 0.133 x1
O 0.352 0.761 0.812 x1
O 0.384 0.261 0.745 x1
O 0.853 0.262 0.808 x1
O 0.860 0.761 0.795 x1

Principal peaks in the range 2θ from 15° to 90°, by angle:
2θ (°)	I_rel
30.3	33
32.0	28
32.1	28
32.8	69
33.8	100
36.7	42
36.7	42
41.8	47
45.0	46
54.9	27

=====

Record 3
This entry pairs a crystal structure of Li4Mn3Cu2Sb3O16 with its simulated powder X-ray diffraction pattern. Radiation: Cu Kα (λ = 1.5418 Å). Structure: a cell relaxed with PBE+U.
Intensities are scaled so that the largest is 100.

Structure:
Lattice parameters (Å, degrees): 6.080 6.110 9.912 90.83 90.64 119.16
Space group P1 (No. 1)
Inequivalent atoms, fractional coordinates:
Li 0.000 0.000 0.000 x1
Li 0.015 0.001 0.489 x1
Li 0.336 0.657 0.119 x1
Li 0.668 0.323 0.601 x1
Mn 0.683 0.836 0.777 x1
Mn 0.847 0.167 0.281 x1
Mn 0.848 0.664 0.278 x1
Cu 0.375 0.680 0.473 x1
Cu 0.703 0.343 0.011 x1
Sb 0.188 0.343 0.780 x1
Sb 0.188 0.833 0.780 x1
Sb 0.359 0.170 0.278 x1
O 0.024 0.025 0.179 x1
O 0.035 0.511 0.668 x1
O 0.043 0.016 0.671 x1
O 0.179 0.320 0.390 x1
O 0.179 0.849 0.385 x1
O 0.327 0.658 0.900 x1
O 0.333 0.161 0.896 x1
O 0.494 0.964 0.671 x1
O 0.495 0.513 0.671 x1
O 0.527 0.024 0.165 x1
O 0.527 0.478 0.166 x1
O 0.676 0.310 0.394 x1
O 0.713 0.852 0.383 x1
O 0.869 0.163 0.885 x1
O 0.871 0.704 0.885 x1
O 0.964 0.469 0.167 x1

Principal peaks in the range 2θ from 15° to 90°, by angle:
2θ (°)	I_rel
17.9	100
18.7	18
19.1	76
24.3	18
33.8	18
34.7	33
34.8	26
35.3	27
44.0	20
44.2	21

=====

Record 4
This entry pairs a crystal structure of Li4Mn3Cu3Sb2O16 with its simulated powder X-ray diffraction pattern. Radiation: Cu Kα (λ = 1.5418 Å). Structure: a cell relaxed with PBE+U.
Intensities are scaled so that the largest is 100.

Structure:
Lattice parameters (Å, degrees): 5.875 5.953 9.743 92.11 91.06 118.58
Space group P1 (No. 1)
Inequivalent atoms, fractional coordinates:
Li 0.000 0.000 0.000 x1
Li 0.005 0.014 0.508 x1
Li 0.325 0.668 0.427 x1
Li 0.654 0.306 0.921 x1
Mn 0.171 0.344 0.734 x1
Mn 0.340 0.174 0.232 x1
Mn 0.832 0.171 0.229 x1
Cu 0.168 0.833 0.727 x1
Cu 0.661 0.832 0.728 x1
Cu 0.830 0.663 0.230 x1
Sb 0.333 0.659 0.003 x1
Sb 0.670 0.351 0.505 x1
O 0.004 0.011 0.811 x1
O 0.010 0.015 0.317 x1
O 0.020 0.480 0.870 x1
O 0.179 0.849 0.108 x1
O 0.180 0.336 0.117 x1
O 0.326 0.656 0.637 x1
O 0.343 0.200 0.611 x1
O 0.454 0.473 0.869 x1
O 0.474 0.943 0.863 x1
O 0.491 0.469 0.361 x1
O 0.502 0.039 0.364 x1
O 0.653 0.318 0.133 x1
O 0.677 0.835 0.106 x1
O 0.840 0.696 0.605 x1
O 0.854 0.200 0.609 x1
O 0.959 0.486 0.365 x1

Principal peaks in the range 2θ from 15° to 90°, by angle:
2θ (°)	I_rel
18.2	30
18.9	44
19.2	51
19.7	97
19.8	100
33.3	35
34.8	36
35.9	49
36.0	44
36.4	30

=====

Record 5
This entry pairs a crystal structure of Li4Mn2Cu3Sn3O16 with its simulated powder X-ray diffraction pattern. Radiation: Cu Kα (λ = 1.5418 Å). Structure: a cell relaxed with PBE+U.
Intensities are scaled so that the largest is 100.

Structure:
Lattice parameters (Å, degrees): 10.434 6.115 9.588 90.00 90.20 90.00
Space group Cm (No. 8)
Inequivalent atoms, fractional coordinates:
Li 0.000 0.000 0.000 x2
Li 0.005 0.000 0.513 x2
Li 0.199 0.500 0.907 x2
Li 0.359 0.000 0.419 x2
Mn 0.192 0.500 0.506 x2
Mn 0.366 0.000 0.995 x2
Cu 0.355 0.500 0.228 x2
Cu 0.440 0.243 0.727 x4
Sn 0.110 0.254 0.227 x4
Sn 0.194 0.000 0.725 x2
O 0.007 0.500 0.867 x2
O 0.016 0.000 0.814 x2
O 0.017 0.000 0.324 x2
O 0.041 0.500 0.362 x2
O 0.107 0.251 0.607 x4
O 0.192 0.000 0.109 x2
O 0.199 0.500 0.115 x2
O 0.261 0.280 0.370 x4
O 0.289 0.216 0.865 x4
O 0.345 0.500 0.611 x2
O 0.366 0.000 0.623 x2
O 0.444 0.242 0.105 x4

Principal peaks in the range 2θ from 15° to 90°, by angle:
2θ (°)	I_rel
18.5	100
19.2	70
19.4	41
32.8	30
35.3	73
35.7	34
39.0	31
44.5	57
59.7	28
61.3	30

=====

Record 6
This entry pairs a crystal structure of Li4Mn3Cu3Sn2O16 with its simulated powder X-ray diffraction pattern. Radiation: Cu Kα (λ = 1.5418 Å). Structure: a cell relaxed with PBE+U.
Intensities are scaled so that the largest is 100.

Structure:
Lattice parameters (Å, degrees): 5.900 5.949 9.683 89.07 89.98 60.36
Space group P1 (No. 1)
Inequivalent atoms, fractional coordinates:
Li 0.000 0.000 0.000 x1
Li 0.000 0.000 0.496 x1
Li 0.338 0.325 0.102 x1
Li 0.671 0.658 0.596 x1
Mn 0.170 0.168 0.777 x1
Mn 0.662 0.168 0.777 x1
Mn 0.831 0.339 0.277 x1
Cu 0.170 0.659 0.777 x1
Cu 0.340 0.831 0.278 x1
Cu 0.829 0.830 0.278 x1
Sn 0.329 0.342 0.497 x1
Sn 0.663 0.673 0.003 x1
O 0.037 0.465 0.655 x1
O 0.151 0.171 0.393 x1
O 0.157 0.688 0.395 x1
O 0.316 0.851 0.892 x1
O 0.343 0.313 0.882 x1
O 0.485 0.030 0.661 x1
O 0.497 0.466 0.655 x1
O 0.517 0.963 0.152 x1
O 0.530 0.499 0.153 x1
O 0.676 0.648 0.384 x1
O 0.677 0.171 0.392 x1
O 0.833 0.851 0.892 x1
O 0.839 0.322 0.886 x1
O 0.971 0.500 0.152 x1
O 0.992 0.013 0.187 x1
O 0.993 0.015 0.684 x1

Principal peaks in the range 2θ from 15° to 90°, by angle:
2θ (°)	I_rel
18.3	30
19.3	34
19.6	100
19.7	67
25.4	29
33.0	42
35.1	39
35.7	77
36.2	40
62.4	37

=====

Record 7
This entry pairs a crystal structure of Li4Mn3Cu2Sn3O16 with its simulated powder X-ray diffraction pattern. Radiation: Cu Kα (λ = 1.5418 Å). Structure: a cell relaxed with PBE+U.
Intensities are scaled so that the largest is 100.

Structure:
Lattice parameters (Å, degrees): 10.527 6.104 9.819 90.00 92.88 90.00
Space group Cm (No. 8)
Inequivalent atoms, fractional coordinates:
Li 0.000 0.000 0.000 x2
Li 0.005 0.000 0.493 x2
Li 0.180 0.500 0.110 x2
Li 0.342 0.000 0.601 x2
Mn 0.342 0.500 0.778 x2
Mn 0.426 0.248 0.279 x4
Cu 0.175 0.500 0.501 x2
Cu 0.346 0.000 0.009 x2
Sn 0.094 0.254 0.780 x4
Sn 0.180 0.000 0.281 x2
O 0.018 0.500 0.660 x2
O 0.087 0.242 0.393 x4
O 0.173 0.000 0.902 x2
O 0.193 0.500 0.894 x2
O 0.252 0.283 0.656 x4
O 0.272 0.231 0.165 x4
O 0.355 0.500 0.380 x2
O 0.359 0.000 0.388 x2
O 0.427 0.271 0.888 x4
O 0.485 0.000 0.159 x2
O 0.497 0.500 0.676 x2
O 0.498 0.500 0.183 x2

Principal peaks in the range 2θ from 15° to 90°, by angle:
2θ (°)	I_rel
18.1	100
18.9	31
19.3	41
19.6	30
34.0	40
35.0	50
35.4	53
43.5	26
44.7	26
61.0	32

=====

Record 8
This entry pairs a crystal structure of Li4Ti3Mn3Cu2O16 with its simulated powder X-ray diffraction pattern. Radiation: Cu Kα (λ = 1.5418 Å). Structure: a cell relaxed with PBE+U.
Intensities are scaled so that the largest is 100.

Structure:
Lattice parameters (Å, degrees): 10.230 5.827 9.706 90.00 90.02 90.00
Space group Cm (No. 8)
Inequivalent atoms, fractional coordinates:
Li 0.000 0.000 0.000 x2
Li 0.013 0.000 0.502 x2
Li 0.188 0.500 0.895 x2
Li 0.343 0.000 0.398 x2
Ti 0.086 0.255 0.217 x4
Ti 0.191 0.000 0.717 x2
Mn 0.335 0.500 0.221 x2
Mn 0.438 0.246 0.719 x4
Cu 0.181 0.500 0.495 x2
Cu 0.344 0.000 0.994 x2
O 0.009 0.500 0.827 x2
O 0.017 0.500 0.324 x2
O 0.020 0.000 0.816 x2
O 0.100 0.239 0.608 x4
O 0.160 0.000 0.113 x2
O 0.176 0.500 0.110 x2
O 0.246 0.281 0.340 x4
O 0.282 0.220 0.839 x4
O 0.356 0.000 0.611 x2
O 0.363 0.500 0.618 x2
O 0.422 0.262 0.109 x4
O 0.499 0.500 0.319 x2

Principal peaks in the range 2θ from 15° to 90°, by angle:
2θ (°)	I_rel
18.3	73
19.6	46
19.8	100
32.9	39
35.7	63
36.7	34
40.2	34
45.5	47
60.1	41
63.2	34

=====

Record 9
This entry pairs a crystal structure of Li4Ti2Mn3Cu3O16 with its simulated powder X-ray diffraction pattern. Radiation: Cu Kα (λ = 1.5418 Å). Structure: a cell relaxed with PBE+U.
Intensities are scaled so that the largest is 100.

Structure:
Lattice parameters (Å, degrees): 5.825 5.849 9.495 90.59 90.43 119.46
Space group P1 (No. 1)
Inequivalent atoms, fractional coordinates:
Li 0.000 0.000 0.000 x1
Li 0.000 0.002 0.504 x1
Li 0.333 0.671 0.603 x1
Li 0.673 0.340 0.100 x1
Ti 0.333 0.660 0.997 x1
Ti 0.660 0.320 0.506 x1
Mn 0.168 0.829 0.282 x1
Mn 0.660 0.831 0.282 x1
Mn 0.827 0.657 0.781 x1
Cu 0.174 0.341 0.282 x1
Cu 0.339 0.169 0.783 x1
Cu 0.828 0.169 0.782 x1
O 0.045 0.533 0.158 x1
O 0.155 0.819 0.902 x1
O 0.169 0.336 0.912 x1
O 0.327 0.158 0.403 x1
O 0.340 0.676 0.387 x1
O 0.481 0.970 0.167 x1
O 0.507 0.546 0.152 x1
O 0.517 0.043 0.647 x1
O 0.529 0.496 0.655 x1
O 0.664 0.820 0.900 x1
O 0.671 0.341 0.888 x1
O 0.811 0.148 0.407 x1
O 0.837 0.672 0.393 x1
O 0.963 0.496 0.653 x1
O 0.994 0.990 0.692 x1
O 0.994 0.995 0.190 x1

Principal peaks in the range 2θ from 15° to 90°, by angle:
2θ (°)	I_rel
18.7	100
19.7	41
19.9	74
36.2	18
36.4	23
36.9	40
40.5	25
46.0	28
46.2	25
61.4	20